(1)
Starting from DFT lattice parameters and positions (PBE+U), the powder diffractogram of KSmMo2O8 was computed for λ = 1.5418 Å (Cu Kα).

Cell and atoms:
a b c (Å): 7.5900 7.5900 7.8705
angles (deg): 118.32 118.32 88.31
Atoms (fractional coordinates):
K 0.2003 0.7997 0.7500
K 0.7997 0.2003 0.2500
Sm 0.2295 0.7705 0.2500
Sm 0.7705 0.2295 0.7500
Mo 0.3031 0.3065 0.7608
Mo 0.3065 0.3031 0.2608
Mo 0.6935 0.6969 0.7392
Mo 0.6969 0.6935 0.2392
O 0.0505 0.2062 0.6905
O 0.0710 0.3845 0.1286
O 0.2062 0.0505 0.1905
O 0.2325 0.3861 0.5624
O 0.3683 0.5833 0.0267
O 0.3845 0.0710 0.6286
O 0.3861 0.2325 0.0624
O 0.4167 0.6317 0.4733
O 0.5833 0.3683 0.5267
O 0.6139 0.7675 0.9376
O 0.6155 0.9290 0.3714
O 0.6317 0.4167 0.9733
O 0.7675 0.6139 0.4376
O 0.7938 0.9495 0.8095
O 0.9290 0.6155 0.8714
O 0.9495 0.7938 0.3095

Largest 10 diffraction maxima, low angle first, 10° ≤ 2θ ≤ 90°:
d (Å)  Rel. int.
6.300  56.2
3.261  26.6
3.233  100.0
3.150  85.8
2.952  39.1
2.641  29.2
1.969  24.8
1.800  12.6
1.767  12.7
1.727  18.9

(2)
Starting from DFT lattice parameters and positions (PBE+U), the powder diffractogram of LiNiP3O9 was computed for λ = 1.5418 Å (Cu Kα).

Cell and atoms:
a b c (Å): 9.0721 7.2082 11.7733
angles (deg): 90.00 90.00 90.00
Atoms (fractional coordinates):
Li 0.0415 0.2500 0.0220
Li 0.4585 0.7500 0.5220
Li 0.5415 0.2500 0.4780
Li 0.9585 0.7500 0.9780
Ni 0.0202 0.7500 0.2088
Ni 0.4798 0.2500 0.7088
Ni 0.5202 0.7500 0.2912
Ni 0.9798 0.2500 0.7912
P 0.1931 0.2500 0.5468
P 0.2479 0.0422 0.3480
P 0.2479 0.4578 0.3480
P 0.2521 0.5422 0.8480
P 0.2521 0.9578 0.8480
P 0.3069 0.7500 0.0468
P 0.6931 0.2500 0.9532
P 0.7479 0.0422 0.1520
P 0.7479 0.4578 0.1520
P 0.7521 0.5422 0.6520
P 0.7521 0.9578 0.6520
P 0.8069 0.7500 0.4532
O 0.0918 0.2500 0.6440
O 0.1139 0.0613 0.8822
O 0.1139 0.4387 0.8822
O 0.1409 0.7500 0.0618
O 0.1478 0.5296 0.2581
O 0.1478 0.9704 0.2581
O 0.1537 0.0778 0.4632
O 0.1537 0.4222 0.4632
O 0.1985 0.7500 0.8122
O 0.3015 0.2500 0.3122
O 0.3463 0.5778 0.9632
O 0.3463 0.9222 0.9632
O 0.3522 0.0296 0.7581
O 0.3522 0.4704 0.7581
O 0.3591 0.2500 0.5618
O 0.3861 0.5613 0.3822
O 0.3861 0.9387 0.3822
O 0.4082 0.7500 0.1440
O 0.5918 0.2500 0.8560
O 0.6139 0.0613 0.6178
O 0.6139 0.4387 0.6178
O 0.6409 0.7500 0.4382
O 0.6478 0.5296 0.2419
O 0.6478 0.9704 0.2419
O 0.6537 0.0778 0.0368
O 0.6537 0.4222 0.0368
O 0.6985 0.7500 0.6878
O 0.8015 0.2500 0.1878
O 0.8463 0.5778 0.5368
O 0.8463 0.9222 0.5368
O 0.8522 0.0296 0.7419
O 0.8522 0.4704 0.7419
O 0.8591 0.2500 0.9382
O 0.8861 0.5613 0.1178
O 0.8861 0.9387 0.1178
O 0.9082 0.7500 0.3560

Largest 10 diffraction maxima, low angle first, 10° ≤ 2θ ≤ 90°:
d (Å)  Rel. int.
6.148  79.0
5.887  16.3
5.089  100.0
4.938  47.2
3.650  60.3
3.599  24.5
2.911  49.1
2.822  20.8
2.744  15.8
2.545  23.8